[1]
Structure and computed powder XRD pattern of Sc5Te8 (the PBE geometry in Alexandria; Cu Ka).
Intensities are scaled so that the largest is 100.

Principal peaks in the range 2θ from 10° to 80°, in order of falling intensity:
h k l, Position (°2θ), d [Å], I/Imax
2 0 1, 28.20, 3.164, 100
2 2 -2, 28.37, 3.146, 99
0 4 0, 44.20, 2.049, 63
4 0 0, 36.25, 2.478, 39
4 0 -2, 25.96, 3.433, 35
2 0 -3, 28.48, 3.134, 24
4 2 -3, 36.52, 2.460, 23
6 2 -2, 47.11, 1.929, 23
2 4 1, 53.20, 1.722, 20
8 0 -4, 53.38, 1.716, 20

Atomic structure:
```
data_Sc5Te8
_space_group_name_H-M_alt 'C 1 2/m 1'
_space_group_IT_number 12
_space_group_name_Hall '-C 2y'
_cell_length_a 13.7318
_cell_length_b 8.2050
_cell_length_c 9.8073
_cell_angle_alpha 90.00
_cell_angle_beta 133.70
_cell_angle_gamma 90.00
loop_
_atom_site_label
_atom_site_type_symbol
_atom_site_fract_x
_atom_site_fract_y
_atom_site_fract_z
_atom_site_occupancy
Sc1 Sc 0.0000 0.0000 0.0000 1
Sc2 Sc 0.0000 0.2628 0.5000 1
Sc3 Sc 0.2378 0.5000 0.9905 1
Te1 Te 0.0341 0.0000 0.3290 1
Te2 Te 0.0454 0.5000 0.3330 1
Te3 Te 0.2077 0.2483 0.1701 1
```

=====

[2]
Structure and computed powder XRD pattern of Y2Al2Ag (the PBE geometry in Alexandria; Cu Ka).
Intensities are scaled so that the largest is 100.

Principal peaks in the range 2θ from 10° to 80°, in order of falling intensity:
h k l, Position (°2θ), d [Å], I/Imax
3 1 -2, 32.25, 2.776, 100
1 1 2, 31.60, 2.831, 79
3 1 1, 38.98, 2.311, 67
0 2 0, 39.86, 2.261, 51
3 1 -3, 35.37, 2.538, 48
1 1 -2, 25.85, 3.446, 39
3 1 -6, 55.68, 1.651, 26
0 0 4, 38.12, 2.361, 25
6 0 -1, 53.19, 1.722, 24
0 0 3, 28.35, 3.148, 21

Atomic structure:
```
data_Y2Al2Ag
_space_group_name_H-M_alt 'C 1 2/m 1'
_space_group_IT_number 12
_space_group_name_Hall '-C 2y'
_cell_length_a 10.8750
_cell_length_b 4.5229
_cell_length_c 10.6468
_cell_angle_alpha 90.00
_cell_angle_beta 117.51
_cell_angle_gamma 90.00
loop_
_atom_site_label
_atom_site_type_symbol
_atom_site_fract_x
_atom_site_fract_y
_atom_site_fract_z
_atom_site_occupancy
Y1 Y 0.0078 0.0000 0.3277 1
Y2 Y 0.1822 0.0000 0.1024 1
Al1 Al 0.0215 0.5000 0.8856 1
Al2 Al 0.1382 0.5000 0.5634 1
Ag1 Ag 0.2248 0.5000 0.3496 1
```

=====

[3]
Structure and computed powder XRD pattern of AcHo2Tm6 (the PBE geometry in Alexandria; Cu Ka).
Intensities are scaled so that the largest is 100.

Principal peaks in the range 2θ from 10° to 80°, in order of falling intensity:
h k l, Position (°2θ), d [Å], I/Imax
1 0 5, 33.51, 2.674, 100
1 0 4, 31.84, 2.811, 89
1 0 0, 28.64, 3.117, 55
0 0 9, 30.93, 2.891, 52
1 1 9, 60.61, 1.528, 47
1 1 0, 50.73, 1.800, 43
1 0 9, 42.65, 2.120, 35
1 0 14, 57.75, 1.596, 24
2 0 4, 61.15, 1.516, 21
2 0 5, 62.18, 1.493, 17

Atomic structure:
```
data_AcHo2Tm6
_space_group_name_H-M_alt 'P -6 m 2'
_space_group_IT_number 187
_space_group_name_Hall 'P -6 2'
_cell_length_a 3.5991
_cell_length_b 3.5991
_cell_length_c 26.0207
_cell_angle_alpha 90.00
_cell_angle_beta 90.00
_cell_angle_gamma 120.00
loop_
_atom_site_label
_atom_site_type_symbol
_atom_site_fract_x
_atom_site_fract_y
_atom_site_fract_z
_atom_site_occupancy
Ac1 Ac 0.0000 0.0000 0.0000 1
Ho1 Ho 0.3333 0.6667 0.3308 1
Tm1 Tm 0.0000 0.0000 0.2236 1
Tm2 Tm 0.0000 0.0000 0.4361 1
Tm3 Tm 0.3333 0.6667 0.1186 1
```

=====

Repeat the third record exactly.
Structure and computed powder XRD pattern of AcHo2Tm6 (the PBE geometry in Alexandria; Cu Ka).
Intensities are scaled so that the largest is 100.

Principal peaks in the range 2θ from 10° to 80°, in order of falling intensity:
h k l, Position (°2θ), d [Å], I/Imax
1 0 5, 33.51, 2.674, 100
1 0 4, 31.84, 2.811, 89
1 0 0, 28.64, 3.117, 55
0 0 9, 30.93, 2.891, 52
1 1 9, 60.61, 1.528, 47
1 1 0, 50.73, 1.800, 43
1 0 9, 42.65, 2.120, 35
1 0 14, 57.75, 1.596, 24
2 0 4, 61.15, 1.516, 21
2 0 5, 62.18, 1.493, 17

Atomic structure:
```
data_AcHo2Tm6
_space_group_name_H-M_alt 'P -6 m 2'
_space_group_IT_number 187
_space_group_name_Hall 'P -6 2'
_cell_length_a 3.5991
_cell_length_b 3.5991
_cell_length_c 26.0207
_cell_angle_alpha 90.00
_cell_angle_beta 90.00
_cell_angle_gamma 120.00
loop_
_atom_site_label
_atom_site_type_symbol
_atom_site_fract_x
_atom_site_fract_y
_atom_site_fract_z
_atom_site_occupancy
Ac1 Ac 0.0000 0.0000 0.0000 1
Ho1 Ho 0.3333 0.6667 0.3308 1
Tm1 Tm 0.0000 0.0000 0.2236 1
Tm2 Tm 0.0000 0.0000 0.4361 1
Tm3 Tm 0.3333 0.6667 0.1186 1
```

=====

Number 3 is which compound?
AcHo2Tm6

=====

What did the second record say?
Structure and computed powder XRD pattern of Y2Al2Ag (the PBE geometry in Alexandria; Cu Ka).
Intensities are scaled so that the largest is 100.

Principal peaks in the range 2θ from 10° to 80°, in order of falling intensity:
h k l, Position (°2θ), d [Å], I/Imax
3 1 -2, 32.25, 2.776, 100
1 1 2, 31.60, 2.831, 79
3 1 1, 38.98, 2.311, 67
0 2 0, 39.86, 2.261, 51
3 1 -3, 35.37, 2.538, 48
1 1 -2, 25.85, 3.446, 39
3 1 -6, 55.68, 1.651, 26
0 0 4, 38.12, 2.361, 25
6 0 -1, 53.19, 1.722, 24
0 0 3, 28.35, 3.148, 21

Atomic structure:
```
data_Y2Al2Ag
_space_group_name_H-M_alt 'C 1 2/m 1'
_space_group_IT_number 12
_space_group_name_Hall '-C 2y'
_cell_length_a 10.8750
_cell_length_b 4.5229
_cell_length_c 10.6468
_cell_angle_alpha 90.00
_cell_angle_beta 117.51
_cell_angle_gamma 90.00
loop_
_atom_site_label
_atom_site_type_symbol
_atom_site_fract_x
_atom_site_fract_y
_atom_site_fract_z
_atom_site_occupancy
Y1 Y 0.0078 0.0000 0.3277 1
Y2 Y 0.1822 0.0000 0.1024 1
Al1 Al 0.0215 0.5000 0.8856 1
Al2 Al 0.1382 0.5000 0.5634 1
Ag1 Ag 0.2248 0.5000 0.3496 1
```